Starting from a structure optimized by DFT (PBE+U), the X-ray powder pattern of SrNdNiSbO6 was calculated for Cu Kα, 1.54184 Å.
Lines closer than 0.1° are merged.

Crystal structure
```
SrNdNiSbO6
1.0
0.000 3.992 3.992
3.992 0.000 3.992
3.992 3.992 0.000
Sr Nd Ni Sb O
1 1 1 1 6
Cartesian
0.000 0.000 0.000 Sr
3.992 3.992 3.992 Nd
5.989 5.989 5.989 Ni
1.996 1.996 1.996 Sb
1.996 1.996 0.025 O
1.996 0.025 1.996 O
3.968 1.996 1.996 O
0.025 1.996 1.996 O
1.996 3.968 1.996 O
1.996 1.996 3.968 O
```

Top 10 peaks for 15° ≤ 2θ ≤ 90°, sorted by position:
19.25 deg, I = 9.9; 31.70 deg, I = 100.0; 37.35 deg, I = 5.3; 39.08 deg, I = 5.2; 45.44 deg, I = 32.0; 49.78 deg, I = 2.3; 56.46 deg, I = 39.0; 66.21 deg, I = 19.2; 75.27 deg, I = 16.8; 83.96 deg, I = 6.4